This entry pairs a crystal structure of NaSrNdTl with its computed powder X-ray diffraction pattern. Radiation: Cu Kα (weighted mean of Kα1 and Kα2). Structure: a structure optimized by DFT (PBE).

Cell and atoms:
```
data_NaSrNdTl
_chemical_formula_sum 'Na4 Sr4 Nd4 Tl4'
_symmetry_space_group_name_H-M 'P 1'
_symmetry_Int_Tables_number 1
_cell_length_a 8.0997
_cell_length_b 8.0997
_cell_length_c 8.0997
_cell_angle_alpha 90.00
_cell_angle_beta 90.00
_cell_angle_gamma 90.00
loop_
_symmetry_equiv_pos_as_xyz
'x,y,z'
loop_
_atom_site_label
_atom_site_type_symbol
_atom_site_fract_x
_atom_site_fract_y
_atom_site_fract_z
_atom_site_occupancy
Na1 Na 0.0000 0.0000 0.0000 1
Na2 Na 0.0000 0.5000 0.5000 1
Na3 Na 0.5000 0.0000 0.5000 1
Na4 Na 0.5000 0.5000 0.0000 1
Sr1 Sr 0.2500 0.2500 0.7500 1
Sr2 Sr 0.2500 0.7500 0.2500 1
Sr3 Sr 0.7500 0.2500 0.2500 1
Sr4 Sr 0.7500 0.7500 0.7500 1
Nd1 Nd 0.2500 0.2500 0.2500 1
Nd2 Nd 0.2500 0.7500 0.7500 1
Nd3 Nd 0.7500 0.2500 0.7500 1
Nd4 Nd 0.7500 0.7500 0.2500 1
Tl1 Tl 0.0000 0.0000 0.5000 1
Tl2 Tl 0.0000 0.5000 0.0000 1
Tl3 Tl 0.5000 0.0000 0.0000 1
Tl4 Tl 0.5000 0.5000 0.5000 1
```

Peak list (10 most intense, 10° ≤ 2θ ≤ 90°, by intensity)
31.2 deg, rel. 1000; 55.6 deg, rel. 392; 19.0 deg, rel. 357; 36.8 deg, rel. 209; 44.8 deg, rel. 186; 74.0 deg, rel. 167; 65.2 deg, rel. 121; 49.0 deg, rel. 95; 59.3 deg, rel. 73; 68.5 deg, rel. 72

***

This entry pairs a crystal structure of NaNd5Te8 with its computed powder X-ray diffraction pattern. Radiation: Cu Kα (weighted mean of Kα1 and Kα2). Structure: a structure optimized by DFT (PBE).

Cell and atoms:
```
data_NaNd5Te8
_chemical_formula_sum 'Na1 Nd5 Te8'
_symmetry_space_group_name_H-M 'P 1'
_symmetry_Int_Tables_number 1
_cell_length_a 8.2914
_cell_length_b 8.2914
_cell_length_c 8.2914
_cell_angle_alpha 109.65
_cell_angle_beta 109.65
_cell_angle_gamma 109.11
loop_
_symmetry_equiv_pos_as_xyz
'x,y,z'
loop_
_atom_site_label
_atom_site_type_symbol
_atom_site_fract_x
_atom_site_fract_y
_atom_site_fract_z
_atom_site_occupancy
Na1 Na 0.0000 0.0000 0.0000 1
Nd1 Nd 0.2449 0.1173 0.6189 1
Nd2 Nd 0.3740 0.7551 0.8724 1
Nd3 Nd 0.4984 0.6260 0.3811 1
Nd4 Nd 0.7500 0.2500 0.5000 1
Nd5 Nd 0.8827 0.5016 0.1276 1
Te1 Te 0.1233 0.3719 0.4023 1
Te2 Te 0.1314 0.3845 0.8970 1
Te3 Te 0.2790 0.8767 0.2486 1
Te4 Te 0.4874 0.2343 0.1030 1
Te5 Te 0.6155 0.5126 0.7469 1
Te6 Te 0.6281 0.0304 0.7514 1
Te7 Te 0.7657 0.8686 0.2531 1
Te8 Te 0.9696 0.7210 0.5977 1
```

Peak list (10 most intense, 10° ≤ 2θ ≤ 90°, by intensity)
29.6 deg, rel. 1000; 35.0 deg, rel. 694; 29.4 deg, rel. 446; 35.1 deg, rel. 348; 59.6 deg, rel. 270; 48.4 deg, rel. 183; 46.5 deg, rel. 162; 62.8 deg, rel. 152; 44.4 deg, rel. 150; 42.3 deg, rel. 147

***

This entry pairs a crystal structure of NaNd4Te6 with its computed powder X-ray diffraction pattern. Radiation: Cu Kα (weighted mean of Kα1 and Kα2). Structure: a structure optimized by DFT (PBE).

Cell and atoms:
```
data_NaNd4Te6
_chemical_formula_sum 'Na2 Nd8 Te12'
_symmetry_space_group_name_H-M 'P 1'
_symmetry_Int_Tables_number 1
_cell_length_a 8.8515
_cell_length_b 8.8515
_cell_length_c 8.8515
_cell_angle_alpha 90.98
_cell_angle_beta 90.98
_cell_angle_gamma 90.98
loop_
_symmetry_equiv_pos_as_xyz
'x,y,z'
loop_
_atom_site_label
_atom_site_type_symbol
_atom_site_fract_x
_atom_site_fract_y
_atom_site_fract_z
_atom_site_occupancy
Na1 Na 0.0000 0.0000 0.0000 1
Na2 Na 0.5000 0.5000 0.5000 1
Nd1 Nd 0.1440 0.7500 0.3560 1
Nd2 Nd 0.2500 0.2500 0.2500 1
Nd3 Nd 0.2500 0.6440 0.8560 1
Nd4 Nd 0.3560 0.1440 0.7500 1
Nd5 Nd 0.6440 0.8560 0.2500 1
Nd6 Nd 0.7500 0.3560 0.1440 1
Nd7 Nd 0.7500 0.7500 0.7500 1
Nd8 Nd 0.8560 0.2500 0.6440 1
Te1 Te 0.0603 0.9139 0.6757 1
Te2 Te 0.0861 0.3243 0.9397 1
Te3 Te 0.1757 0.4139 0.5603 1
Te4 Te 0.3243 0.9397 0.0861 1
Te5 Te 0.4139 0.5603 0.1757 1
Te6 Te 0.4397 0.8243 0.5861 1
Te7 Te 0.5603 0.1757 0.4139 1
Te8 Te 0.5861 0.4397 0.8243 1
Te9 Te 0.6757 0.0603 0.9139 1
Te10 Te 0.8243 0.5861 0.4397 1
Te11 Te 0.9139 0.6757 0.0603 1
Te12 Te 0.9397 0.0861 0.3243 1
```

Peak list (10 most intense, 10° ≤ 2θ ≤ 90°, by intensity)
30.1 deg, rel. 1000; 33.5 deg, rel. 803; 32.2 deg, rel. 517; 37.7 deg, rel. 383; 28.8 deg, rel. 342; 60.5 deg, rel. 319; 36.9 deg, rel. 309; 24.6 deg, rel. 307; 25.0 deg, rel. 214; 43.3 deg, rel. 211

***

This entry pairs a crystal structure of Na3Nd3UTe8 with its computed powder X-ray diffraction pattern. Radiation: Cu Kα (weighted mean of Kα1 and Kα2). Structure: a structure optimized by DFT (PBE).

Cell and atoms:
```
data_Na3Nd3UTe8
_chemical_formula_sum 'Na3 Nd3 U1 Te8'
_symmetry_space_group_name_H-M 'P 1'
_symmetry_Int_Tables_number 1
_cell_length_a 9.2172
_cell_length_b 9.2172
_cell_length_c 9.2172
_cell_angle_alpha 58.74
_cell_angle_beta 58.74
_cell_angle_gamma 58.74
loop_
_symmetry_equiv_pos_as_xyz
'x,y,z'
loop_
_atom_site_label
_atom_site_type_symbol
_atom_site_fract_x
_atom_site_fract_y
_atom_site_fract_z
_atom_site_occupancy
Na1 Na 0.0000 0.5000 0.5000 1
Na2 Na 0.5000 0.0000 0.5000 1
Na3 Na 0.5000 0.5000 0.0000 1
Nd1 Nd 0.0000 0.0000 0.5000 1
Nd2 Nd 0.0000 0.5000 0.0000 1
Nd3 Nd 0.5000 0.0000 0.0000 1
U1 U 0.5000 0.5000 0.5000 1
Te1 Te 0.2469 0.2469 0.2469 1
Te2 Te 0.2526 0.7396 0.7396 1
Te3 Te 0.2604 0.2604 0.7474 1
Te4 Te 0.2604 0.7474 0.2604 1
Te5 Te 0.7396 0.2526 0.7396 1
Te6 Te 0.7396 0.7396 0.2526 1
Te7 Te 0.7474 0.2604 0.2604 1
Te8 Te 0.7531 0.7531 0.7531 1
```

Peak list (10 most intense, 10° ≤ 2θ ≤ 90°, by intensity)
27.6 deg, rel. 1000; 11.6 deg, rel. 385; 39.1 deg, rel. 383; 39.9 deg, rel. 376; 49.2 deg, rel. 202; 65.1 deg, rel. 172; 64.0 deg, rel. 168; 23.1 deg, rel. 161; 57.1 deg, rel. 125; 71.9 deg, rel. 124